Ca3OF3: computed PXRD pattern (Cu Kα, 1.54184 Å), based on the PBE geometry in Alexandria.
Intensities are scaled so that the largest is 100.

Peak list (10 most intense, 2θ from 10° to 90°, in order of rising 2θ)
2θ (°)  intensity  index
18.46  26  1 0 0
26.22  27  1 1 0
32.26  12  1 1 1
37.42  100  2 0 0
42.03  10  2 1 0
46.27  10  2 1 1
53.96  59  2 2 0
64.28  6  3 1 1
67.51  18  2 2 2
79.82  8  4 0 0

Structural model:
Lattice parameters (Å, degrees): 4.8065 4.8065 4.8065 90.00 90.00 90.00
Space group Pm-3m (No. 221)
Asymmetric unit:
Ca 0.0000 0.0000 0.5000
O 0.0000 0.0000 0.0000
F 0.0000 0.5000 0.5000

CaOF2: computed PXRD pattern (Cu Kα, 1.54184 Å), based on the PBE geometry in Alexandria.
Intensities are scaled so that the largest is 100.

Peak list (10 most intense, 2θ from 10° to 90°, in order of rising 2θ)
2θ (°)  intensity  index
17.78  100  1 0 0
27.58  85  0 0 2
31.59  43  1 1 -1
35.73  25  1 0 2
43.77  84  2 1 -1
48.10  14  2 1 1
48.73  54  0 1 3
48.90  29  0 2 0
49.27  19  1 1 -3
50.11  25  2 0 2

Structural model:
Lattice parameters (Å, degrees): 5.0759 3.7252 6.5931 90.00 100.65 90.00
Space group P2_1/m (No. 11)
Asymmetric unit:
Ca 0.0008 0.2500 0.2500
O 0.4989 0.7500 0.7497
F 0.1738 0.2500 0.6044
F 0.1742 0.7500 0.1042

CaOsO2F: computed PXRD pattern (Cu Kα, 1.54184 Å), based on the PBE geometry in Alexandria.
Intensities are scaled so that the largest is 100.

Peak list (10 most intense, 2θ from 10° to 90°, in order of rising 2θ)
2θ (°)  intensity  index
18.66  44  0 0 1
23.02  58  1 0 0
29.80  100  1 0 1
32.79  41  1 1 0
37.84  24  0 0 2
44.76  21  1 0 2
47.05  25  2 0 0
50.92  24  1 1 2
56.69  33  2 1 1
61.89  21  2 0 2

Structural model:
Lattice parameters (Å, degrees): 3.8631 3.8631 4.7550 90.00 90.00 90.00
Space group P4/mmm (No. 123)
Asymmetric unit:
Ca 0.0000 0.0000 0.0000
Os 0.5000 0.5000 0.5000
O 0.0000 0.5000 0.5000
F 0.5000 0.5000 0.0000

Sr3Ca2P3O12F: computed PXRD pattern (Cu Kα, 1.54184 Å), based on the PBE geometry in Alexandria.
Intensities are scaled so that the largest is 100.

Peak list (10 most intense, 2θ from 10° to 90°, in order of rising 2θ)
2θ (°)  intensity  index
16.24  22  1 0 1
24.79  40  2 0 0
27.00  37  2 -1 0
28.08  28  0 1 -3
30.75  82  1 1 -3
30.84  100  1 2 1
30.99  72  2 -1 2
31.94  53  0 3 0
45.17  30  2 2 2
47.60  30  3 3 -2

Structural model:
Lattice parameters (Å, degrees): 7.1836 9.6799 9.7058 119.86 90.14 90.09
Space group P1 (No. 1)
Asymmetric unit:
Sr 0.0000 0.0000 0.0000
Sr 0.0012 0.2273 0.7387
Sr 0.0072 0.4990 0.2308
Sr 0.2517 0.5749 0.6573
Sr 0.4985 0.2550 0.2290
Sr 0.7522 0.9083 0.3196
Ca 0.2529 0.9185 0.3209
Ca 0.5019 0.9895 0.7301
Ca 0.5065 0.4886 0.9846
Ca 0.7493 0.5771 0.6563
P 0.0015 0.2751 0.3907
P 0.0061 0.8451 0.6184
P 0.0078 0.6103 0.9609
P 0.5037 0.8704 0.0167
P 0.5050 0.2110 0.5883
P 0.5081 0.6395 0.3559
O 0.0165 0.0925 0.3253
O 0.0200 0.9026 0.4950
O 0.0257 0.7334 0.1414
O 0.1821 0.3405 0.3554
O 0.1844 0.8919 0.7242
O 0.1867 0.5064 0.8990
O 0.3309 0.9810 0.0656
O 0.3328 0.1605 0.6496
O 0.3498 0.5500 0.2337
O 0.4732 0.8229 0.4462
O 0.4885 0.1290 0.4038
O 0.4889 0.7692 0.1014
O 0.5161 0.7635 0.8332
O 0.5196 0.3955 0.6682
O 0.5223 0.5764 0.4749
O 0.6789 0.1398 0.6259
O 0.6790 0.9781 0.0832
O 0.6878 0.6066 0.2560
O 0.8347 0.9226 0.7285
O 0.8364 0.3113 0.3104
O 0.8385 0.4982 0.9312
O 0.9737 0.3659 0.5744
O 0.9804 0.6977 0.8636
O 0.9845 0.6602 0.5329
F 0.0432 0.2431 0.9937
F 0.5297 0.2363 0.9638

SrCa4P3O12F: computed PXRD pattern (Cu Kα, 1.54184 Å), based on the PBE geometry in Alexandria.
Intensities are scaled so that the largest is 100.

Peak list (10 most intense, 2θ from 10° to 90°, in order of rising 2θ)
2θ (°)  intensity  index
10.73  27  1 0 0
27.52  26  1 0 2
28.64  24  2 1 0
31.38  100  2 1 1
31.59  82  1 1 2
32.58  83  3 0 0
33.45  36  2 0 2
46.01  46  2 2 2
48.52  38  2 1 3
50.73  26  1 4 0

Structural model:
Lattice parameters (Å, degrees): 9.5219 9.5219 7.0484 90.00 90.00 120.00
Space group P6_3 (No. 173)
Asymmetric unit:
Sr 0.3333 0.6667 0.0000
Ca 0.0045 0.2468 0.2498
Ca 0.3333 0.6667 0.4997
P 0.0273 0.3925 0.7518
O 0.0748 0.3253 0.5777
O 0.0945 0.3511 0.9314
O 0.1130 0.5811 0.7335
O 0.1594 0.6837 0.2653
F 0.0000 0.0000 0.2668